# Dy2SeI3
Simulated X-ray diffraction stick pattern, Cu Kα X-rays. Input: a DFT-relaxed cell (GGA-PBE, Alexandria).
No peak broadening, texture or thermal motion is included.

The 12 most intense peaks (2θ = 10–90°), in order of rising 2θ:
d (Å), 2theta, Rel. int., hkl
7.451, 11.9, 494, 2 0 -2
3.604, 24.7, 684, 1 1 1
3.573, 24.9, 725, 1 1 -2
3.085, 28.9, 679, 6 0 -1
3.016, 29.6, 298, 1 1 2
2.751, 32.6, 1000, 3 1 -4
2.483, 36.2, 455, 7 1 -3
2.377, 37.9, 252, 4 0 -6
2.211, 40.8, 429, 5 1 1
2.104, 43.0, 425, 0 2 0
2.063, 43.9, 660, 9 1 -5
1.738, 52.7, 259, 6 2 -1

Crystal structure
```
data_Dy2SeI3
_cell_length_a 21.6046
_cell_length_b 4.2081
_cell_length_c 14.9032
_cell_angle_alpha 90.00
_cell_angle_beta 132.99
_cell_angle_gamma 90.00
_space_group_name_H-M_alt 'C 1 2/m 1'
_space_group_IT_number 12
loop_
_space_group_symop_operation_xyz
'x,y,z'
'-x,-y,-z'
'-x,y,-z'
'x,-y,z'
'x+1/2,y+1/2,z'
'-x+1/2,-y+1/2,-z'
'-x+1/2,y+1/2,-z'
'x+1/2,-y+1/2,z'
loop_
_atom_site_label
_atom_site_type_symbol
_atom_site_fract_x
_atom_site_fract_y
_atom_site_fract_z
Dy1 Dy 0.0784 0.0000 0.4673
Dy2 Dy 0.1318 0.5000 0.8280
Se1 Se 0.1018 0.0000 0.6803
I1 I 0.0467 0.5000 0.2780
I2 I 0.1743 0.0000 0.0219
I3 I 0.2202 0.5000 0.6185
```

=====

# HgPb2S2I2
Simulated X-ray diffraction stick pattern, Cu Kα X-rays. Input: a DFT-relaxed cell (GGA-PBE, Alexandria).
No peak broadening, texture or thermal motion is included.

The 12 most intense peaks (2θ = 10–90°), in order of rising 2θ:
d (Å), 2theta, Rel. int., hkl
4.145, 21.4, 177, 1 1 0
3.426, 26.0, 382, 4 0 -1
3.338, 26.7, 1000, 1 1 1
3.106, 28.7, 551, 2 0 -3
3.077, 29.0, 942, 3 1 -2
2.403, 37.4, 244, 5 1 -2
2.358, 38.2, 251, 3 1 1
2.226, 40.5, 270, 0 2 0
2.172, 41.6, 170, 6 0 -1
2.129, 42.5, 196, 6 0 -4
1.808, 50.5, 360, 4 0 2
1.744, 52.5, 189, 5 1 -5

Crystal structure
```
data_HgPb2S2I2
_cell_length_a 14.2649
_cell_length_b 4.4519
_cell_length_c 9.5055
_cell_angle_alpha 90.00
_cell_angle_beta 127.23
_cell_angle_gamma 90.00
_space_group_name_H-M_alt 'C 1 2/m 1'
_space_group_IT_number 12
loop_
_space_group_symop_operation_xyz
'x,y,z'
'-x,-y,-z'
'-x,y,-z'
'x,-y,z'
'x+1/2,y+1/2,z'
'-x+1/2,-y+1/2,-z'
'-x+1/2,y+1/2,-z'
'x+1/2,-y+1/2,z'
loop_
_atom_site_label
_atom_site_type_symbol
_atom_site_fract_x
_atom_site_fract_y
_atom_site_fract_z
Hg1 Hg 0.0000 0.0000 0.0000
Pb1 Pb 0.1474 0.0000 0.7420
S1 S 0.1910 0.0000 0.0721
I1 I 0.0637 0.5000 0.3540
```

=====

# SrCd4Ni
Simulated X-ray diffraction stick pattern, Cu Kα X-rays. Input: a DFT-relaxed cell (GGA-PBE, Alexandria).
No peak broadening, texture or thermal motion is included.

The 12 most intense peaks (2θ = 10–90°), in order of rising 2θ:
d (Å), 2theta, Rel. int., hkl
7.501, 11.8, 239, 0 0 1
2.832, 31.6, 1000, 2 1 1
2.816, 31.8, 163, 0 1 2
2.727, 32.8, 213, 3 0 1
2.682, 33.4, 488, 1 1 2
2.500, 35.9, 186, 0 0 3
2.405, 37.4, 196, 1 0 3
2.370, 38.0, 702, 2 1 2
2.297, 39.2, 318, 3 1 1
2.195, 41.1, 163, 4 0 0
2.132, 42.4, 387, 0 2 0
1.415, 66.0, 166, 0 1 5

Crystal structure
```
data_SrCd4Ni
_cell_length_a 8.7810
_cell_length_b 4.2642
_cell_length_c 7.5009
_cell_angle_alpha 90.00
_cell_angle_beta 90.00
_cell_angle_gamma 90.00
_space_group_name_H-M_alt 'P m m a'
_space_group_IT_number 51
loop_
_space_group_symop_operation_xyz
'x,y,z'
'-x,-y,-z'
'-x+1/2,-y,z'
'x+1/2,y,-z'
'x+1/2,-y,-z'
'-x+1/2,y,z'
'-x,y,-z'
'x,-y,z'
loop_
_atom_site_label
_atom_site_type_symbol
_atom_site_fract_x
_atom_site_fract_y
_atom_site_fract_z
Sr1 Sr 0.2500 0.0000 0.0941
Cd1 Cd 0.0000 0.0000 0.5000
Cd2 Cd 0.0629 0.5000 0.8022
Cd3 Cd 0.2500 0.5000 0.4508
Ni1 Ni 0.2500 0.0000 0.6921
```

=====

# Sr3SbH3
Simulated X-ray diffraction stick pattern, Cu Kα X-rays. Input: a DFT-relaxed cell (GGA-PBE, Alexandria).
No peak broadening, texture or thermal motion is included.

The 12 most intense peaks (2θ = 10–90°), in order of rising 2θ:
d (Å), 2theta, Rel. int., hkl
6.314, 14.0, 198, 1 0 1
5.683, 15.6, 131, 0 1 2
3.390, 26.3, 1000, 1 1 3
2.673, 33.5, 497, 2 -1 6
2.192, 41.2, 295, 3 0 0
2.094, 43.2, 145, 2 -1 9
1.841, 49.5, 155, 4 -2 3
1.695, 54.1, 112, 2 2 6
1.651, 55.7, 116, 0 3 9
1.428, 65.3, 94, 3 0 12
1.410, 66.3, 111, 1 4 3
1.341, 70.2, 97, 5 -4 6

Crystal structure
```
data_Sr3SbH3
_cell_length_a 7.5941
_cell_length_b 7.5941
_cell_length_c 22.5856
_cell_angle_alpha 90.00
_cell_angle_beta 90.00
_cell_angle_gamma 120.00
_space_group_name_H-M_alt 'R -3'
_space_group_IT_number 148
_space_group_name_Hall '-R 3'
loop_
_atom_site_label
_atom_site_type_symbol
_atom_site_fract_x
_atom_site_fract_y
_atom_site_fract_z
Sr1 Sr 0.0037 0.3614 0.4064
Sb1 Sb 0.0000 0.0000 0.1661
H1 H 0.0108 0.3072 0.6283
```

=====

# Na4InHg4
Simulated X-ray diffraction stick pattern, Cu Kα X-rays. Input: a DFT-relaxed cell (GGA-PBE, Alexandria).
No peak broadening, texture or thermal motion is included.

The 12 most intense peaks (2θ = 10–90°), in order of rising 2θ:
d (Å), 2theta, Rel. int., hkl
7.253, 12.2, 504, 0 0 2
5.551, 16.0, 277, 0 1 1
3.627, 24.5, 188, 0 0 4
3.602, 24.7, 1000, 1 1 2
2.869, 31.2, 266, 2 0 0
2.731, 32.8, 484, 1 1 4
2.616, 34.3, 656, 0 1 5
2.549, 35.2, 316, 2 1 1
2.332, 38.6, 556, 1 2 3
2.250, 40.1, 226, 2 0 4
1.662, 55.3, 177, 1 1 8
1.429, 65.3, 194, 2 3 5

Crystal structure
```
data_Na4InHg4
_cell_length_a 5.7383
_cell_length_b 6.0086
_cell_length_c 14.5067
_cell_angle_alpha 90.00
_cell_angle_beta 90.00
_cell_angle_gamma 90.00
_space_group_name_H-M_alt 'I 2 2 2'
_space_group_IT_number 23
loop_
_space_group_symop_operation_xyz
'x,y,z'
'-x,-y,z'
'x,-y,-z'
'-x,y,-z'
'x+1/2,y+1/2,z+1/2'
'-x+1/2,-y+1/2,z+1/2'
'x+1/2,-y+1/2,-z+1/2'
'-x+1/2,y+1/2,-z+1/2'
loop_
_atom_site_label
_atom_site_type_symbol
_atom_site_fract_x
_atom_site_fract_y
_atom_site_fract_z
Na1 Na 0.2479 0.1790 0.1815
In1 In 0.0000 0.5000 0.5000
Hg1 Hg 0.2283 0.3487 0.9057
```

=====

# ThH8Ir2Pt
Simulated X-ray diffraction stick pattern, Cu Kα X-rays. Input: a DFT-relaxed cell (GGA-PBE, Alexandria).
No peak broadening, texture or thermal motion is included.

The 12 most intense peaks (2θ = 10–90°), in order of rising 2θ:
d (Å), 2theta, Rel. int., hkl
2.930, 30.5, 1000, 1 1 1
2.845, 31.4, 335, 2 0 -2
2.446, 36.7, 616, 3 1 -1
2.435, 36.9, 117, 1 1 -2
2.151, 42.0, 234, 4 0 0
2.096, 43.2, 235, 0 2 0
2.048, 44.2, 138, 2 0 2
1.787, 51.1, 101, 1 1 -3
1.688, 54.4, 147, 2 2 -2
1.501, 61.8, 155, 4 2 0
1.466, 63.5, 147, 2 2 2
1.417, 65.9, 117, 5 1 1

Crystal structure
```
data_ThH8Ir2Pt
_cell_length_a 9.1729
_cell_length_b 4.1933
_cell_length_c 5.9841
_cell_angle_alpha 90.00
_cell_angle_beta 110.30
_cell_angle_gamma 90.00
_space_group_name_H-M_alt 'C 1 2/m 1'
_space_group_IT_number 12
loop_
_space_group_symop_operation_xyz
'x,y,z'
'-x,-y,-z'
'-x,y,-z'
'x,-y,z'
'x+1/2,y+1/2,z'
'-x+1/2,-y+1/2,-z'
'-x+1/2,y+1/2,-z'
'x+1/2,-y+1/2,z'
loop_
_atom_site_label
_atom_site_type_symbol
_atom_site_fract_x
_atom_site_fract_y
_atom_site_fract_z
Th1 Th 0.0000 0.0000 0.0000
H1 H 0.1261 0.2579 0.7379
H2 H 0.1481 0.5000 0.0326
H3 H 0.2012 0.0000 0.3706
Ir1 Ir 0.2486 0.5000 0.3232
Pt1 Pt 0.0000 0.5000 0.5000
```

=====

# NdMgGa4
Simulated X-ray diffraction stick pattern, Cu Kα X-rays. Input: a DFT-relaxed cell (GGA-PBE, Alexandria).
No peak broadening, texture or thermal motion is included.

The 12 most intense peaks (2θ = 10–90°), in order of rising 2θ:
d (Å), 2theta, Rel. int., hkl
5.265, 16.8, 196, 0 1 1
3.680, 24.2, 555, 1 1 0
2.632, 34.1, 486, 0 2 2
2.562, 35.0, 1000, 1 2 1
2.539, 35.3, 208, 0 1 3
2.315, 38.9, 885, 1 0 3
2.205, 40.9, 188, 0 3 1
2.179, 41.4, 371, 2 0 0
1.817, 50.2, 185, 1 3 2
1.760, 52.0, 176, 0 2 4
1.679, 54.7, 247, 2 2 2
1.369, 68.5, 150, 2 2 4

Crystal structure
```
data_NdMgGa4
_cell_length_a 4.3584
_cell_length_b 6.8673
_cell_length_c 8.1993
_cell_angle_alpha 90.00
_cell_angle_beta 90.00
_cell_angle_gamma 90.00
_space_group_name_H-M_alt 'I m m m'
_space_group_IT_number 71
_space_group_name_Hall '-I 2 2'
loop_
_atom_site_label
_atom_site_type_symbol
_atom_site_fract_x
_atom_site_fract_y
_atom_site_fract_z
Nd1 Nd 0.0000 0.0000 0.0000
Mg1 Mg 0.0000 0.5000 0.0000
Ga1 Ga 0.0000 0.2070 0.3370
```

=====

# FeAsPC
Simulated X-ray diffraction stick pattern, Cu Kα X-rays. Input: a DFT-relaxed cell (GGA-PBE, Alexandria).
No peak broadening, texture or thermal motion is included.

The 12 most intense peaks (2θ = 10–90°), in order of rising 2θ:
d (Å), 2theta, Rel. int., hkl
5.096, 17.4, 757, 0 0 1
3.290, 27.1, 427, 2 0 -1
2.656, 33.7, 549, 1 1 0
2.434, 36.9, 619, 2 0 -2
2.425, 37.1, 200, 2 0 1
2.237, 40.3, 1000, 1 1 1
1.804, 50.6, 471, 3 1 -1
1.756, 52.1, 256, 2 0 2
1.657, 55.5, 205, 3 1 -2
1.643, 56.0, 193, 4 0 0
1.525, 60.7, 308, 1 1 -3
1.246, 76.4, 179, 2 2 -2

Crystal structure
```
data_FeAsPC
_cell_length_a 6.9517
_cell_length_b 2.9034
_cell_length_c 5.3900
_cell_angle_alpha 90.00
_cell_angle_beta 109.02
_cell_angle_gamma 90.00
_space_group_name_H-M_alt 'C 1 m 1'
_space_group_IT_number 8
loop_
_space_group_symop_operation_xyz
'x,y,z'
'x,-y,z'
'x+1/2,y+1/2,z'
'x+1/2,-y+1/2,z'
loop_
_atom_site_label
_atom_site_type_symbol
_atom_site_fract_x
_atom_site_fract_y
_atom_site_fract_z
Fe1 Fe 0.0000 0.0000 0.0000
As1 As 0.2593 0.5000 0.2534
P1 P 0.2191 0.0000 0.7819
C1 C 0.2691 0.5000 0.6290
```

=====

# Ac2GaH2O6
Simulated X-ray diffraction stick pattern, Cu Kα X-rays. Input: a DFT-relaxed cell (GGA-PBE, Alexandria).
No peak broadening, texture or thermal motion is included.

The 12 most intense peaks (2θ = 10–90°), in order of rising 2θ:
d (Å), 2theta, Rel. int., hkl
3.909, 22.7, 1000, 0 1 2
2.922, 30.6, 974, 1 0 4
2.630, 34.1, 822, 1 1 0
2.536, 35.4, 385, 0 0 6
2.182, 41.4, 432, 2 0 2
1.955, 46.5, 508, 0 2 4
1.826, 49.9, 282, 1 1 6
1.757, 52.0, 179, 0 1 8
1.679, 54.7, 213, 1 2 2
1.569, 58.9, 328, 2 1 4
1.518, 61.0, 161, 3 0 0
1.461, 63.7, 154, 2 0 8

Crystal structure
```
data_Ac2GaH2O6
_cell_length_a 5.2593
_cell_length_b 5.2593
_cell_length_c 15.2381
_cell_angle_alpha 90.00
_cell_angle_beta 90.00
_cell_angle_gamma 120.00
_space_group_name_H-M_alt 'R -3 m'
_space_group_IT_number 166
_space_group_name_Hall '-R 3 2"'
loop_
_atom_site_label
_atom_site_type_symbol
_atom_site_fract_x
_atom_site_fract_y
_atom_site_fract_z
Ac1 Ac 0.0000 0.0000 0.2379
Ga1 Ga 0.0000 0.0000 0.0000
H1 H 0.0000 0.0000 0.4179
O1 O 0.0121 0.5060 0.2527
```

=====

# Ca2YGa4
Simulated X-ray diffraction stick pattern, Cu Kα X-rays. Input: a DFT-relaxed cell (GGA-PBE, Alexandria).
No peak broadening, texture or thermal motion is included.

The 12 most intense peaks (2θ = 10–90°), in order of rising 2θ:
d (Å), 2theta, Rel. int., hkl
3.943, 22.5, 171, 1 0 1
2.813, 31.8, 1000, 1 1 2
2.772, 32.3, 522, 1 0 5
2.506, 35.8, 461, 1 1 4
2.306, 39.1, 618, 0 1 7
2.161, 41.8, 140, 1 1 6
2.155, 41.9, 332, 0 2 0
2.015, 45.0, 268, 2 0 0
1.702, 53.9, 245, 1 2 5
1.517, 61.1, 317, 2 1 7
1.472, 63.2, 186, 2 2 0
1.271, 74.7, 162, 0 3 7

Crystal structure
```
data_Ca2YGa4
_cell_length_a 4.0298
_cell_length_b 4.3108
_cell_length_c 19.1009
_cell_angle_alpha 90.00
_cell_angle_beta 90.00
_cell_angle_gamma 90.00
_space_group_name_H-M_alt 'I m m m'
_space_group_IT_number 71
_space_group_name_Hall '-I 2 2'
loop_
_atom_site_label
_atom_site_type_symbol
_atom_site_fract_x
_atom_site_fract_y
_atom_site_fract_z
Ca1 Ca 0.0000 0.0000 0.1877
Y1 Y 0.0000 0.5000 0.0000
Ga1 Ga 0.0000 0.0000 0.3617
Ga2 Ga 0.0000 0.5000 0.4352
```

=====

# Li3Cd4Hg4
Simulated X-ray diffraction stick pattern, Cu Kα X-rays. Input: a DFT-relaxed cell (GGA-PBE, Alexandria).
No peak broadening, texture or thermal motion is included.

The 12 most intense peaks (2θ = 10–90°), in order of rising 2θ:
d (Å), 2theta, Rel. int., hkl
4.440, 20.0, 710, 0 1 1
4.379, 20.3, 654, 0 1 -2
3.816, 23.3, 857, 0 0 4
3.040, 29.4, 386, 1 0 -1
2.905, 30.8, 558, -1 1 1
2.700, 33.2, 374, 1 0 2
2.584, 34.7, 386, -1 1 3
2.446, 36.7, 460, 0 2 -1
2.432, 37.0, 1000, 0 1 5
2.396, 37.5, 634, 0 1 -6
2.314, 38.9, 357, 1 1 -2
2.293, 39.3, 401, 1 -1 4

Crystal structure
```
data_Li3Cd4Hg4
_cell_length_a 3.1500
_cell_length_b 5.0559
_cell_length_c 15.4812
_cell_angle_alpha 96.51
_cell_angle_beta 95.19
_cell_angle_gamma 104.58
_space_group_name_H-M_alt 'P 1'
_space_group_IT_number 1
loop_
_space_group_symop_operation_xyz
'x,y,z'
loop_
_atom_site_label
_atom_site_type_symbol
_atom_site_fract_x
_atom_site_fract_y
_atom_site_fract_z
Li1 Li 0.0000 0.0000 0.0000
Li2 Li 0.1187 0.7644 0.2697
Li3 Li 0.8704 0.2398 0.7303
Cd1 Cd 0.3046 0.8177 0.8309
Cd2 Cd 0.3405 0.2542 0.5533
Cd3 Cd 0.6467 0.7513 0.4470
Cd4 Cd 0.6953 0.1833 0.1691
Hg1 Hg 0.0750 0.7568 0.6429
Hg2 Hg 0.3563 0.6116 0.0888
Hg3 Hg 0.6431 0.3893 0.9115
Hg4 Hg 0.9124 0.2486 0.3574
```

=====

# PaBi3
Simulated X-ray diffraction stick pattern, Cu Kα X-rays. Input: a DFT-relaxed cell (GGA-PBE, Alexandria).
No peak broadening, texture or thermal motion is included.

The 12 most intense peaks (2θ = 10–90°), in order of rising 2θ:
d (Å), 2theta, Rel. int., hkl
2.808, 31.9, 1000, 1 1 2
2.751, 32.5, 237, 0 0 4
2.309, 39.0, 294, 2 0 0
1.769, 51.7, 266, 2 0 4
1.633, 56.3, 103, 2 2 0
1.599, 57.6, 193, 1 1 6
1.412, 66.2, 258, 3 1 2
1.404, 66.6, 127, 2 2 4
1.376, 68.2, 30, 0 0 8
1.182, 81.4, 75, 2 0 8
1.155, 83.8, 35, 4 0 0
1.143, 84.9, 138, 3 1 6

Crystal structure
```
data_PaBi3
_cell_length_a 4.6183
_cell_length_b 4.6183
_cell_length_c 11.0055
_cell_angle_alpha 90.00
_cell_angle_beta 90.00
_cell_angle_gamma 90.00
_space_group_name_H-M_alt 'I 4/m m m'
_space_group_IT_number 139
_space_group_name_Hall '-I 4 2'
loop_
_atom_site_label
_atom_site_type_symbol
_atom_site_fract_x
_atom_site_fract_y
_atom_site_fract_z
Pa1 Pa 0.0000 0.0000 0.0000
Bi1 Bi 0.0000 0.0000 0.5000
Bi2 Bi 0.0000 0.5000 0.2500
```